Starting from a structure optimized by DFT (GGA-PBE), the powder diffraction line list of K2SrPO4 was calculated for a wavelength of 1.5418 Å.
Kinematic intensities with the Lorentz-polarization factor, no thermal factor.

Most intense lines, 2θ from 10° to 80°, low angle first:
2θ (°)	I_rel
17.95	29.8
27.50	58.2
30.47	100.0
39.29	20.9
50.52	42.4
55.90	16.3

Structure:
```
K2SrPO4
1.0
-3.2430 3.2430 3.8169
3.2430 -3.2430 3.8169
3.2430 3.2430 -3.8169
K Sr P O
2 1 1 4
Direct
0.0000 0.0000 0.0000
0.7500 0.2500 0.5000
0.5000 0.5000 0.0000
0.2500 0.7500 0.5000
0.2679 0.7042 0.2299
0.2958 0.5258 0.5637
0.4742 0.0380 0.7701
0.9620 0.7321 0.4363
```